1.
# ZnAuO
Simulated XRD peak list, a wavelength of 1.5418 Å. Input: a DFT-relaxed cell (PBE, Alexandria).
Kinematic intensities with the Lorentz-polarization factor, no thermal factor.

Peak list (10 most intense, 2θ = 10–80°, low angle first)
2theta, I/Imax, h k l
14.8, 45, 0 0 1
26.8, 40, 2 0 1
27.7, 100, 1 1 0
30.2, 37, 2 0 -2
35.8, 38, 4 0 -1
43.7, 38, 2 0 -3
44.3, 32, 3 1 1
52.7, 27, 5 1 -1
53.6, 28, 0 2 0
54.5, 28, 3 1 2

Structure:
Lattice parameters (Å, degrees): 10.1005 3.4173 6.2639 90.00 106.82 90.00
Positions (direct):
Zn 0.1849 0.0000 0.3062
Zn 0.3151 0.5000 0.6938
Zn 0.6849 0.5000 0.3062
Zn 0.8151 0.0000 0.6938
Au 0.0801 0.0000 0.8668
Au 0.4199 0.5000 0.1332
Au 0.5801 0.5000 0.8668
Au 0.9199 0.0000 0.1332
O 0.2100 0.0000 0.6503
O 0.2900 0.5000 0.3497
O 0.7100 0.5000 0.6503
O 0.7900 0.0000 0.3497

---

2.
# Os2Au
Simulated XRD peak list, a wavelength of 1.5418 Å. Input: a DFT-relaxed cell (PBE, Alexandria).
Kinematic intensities with the Lorentz-polarization factor, no thermal factor.

Peak list (10 most intense, 2θ = 10–80°, low angle first)
2theta, I/Imax, h k l
30.1, 3, 0 0 4
39.2, 100, 1 0 3
45.5, 35, 1 1 0
45.9, 14, 0 0 6
50.2, 2, 1 0 5
55.5, 2, 1 1 4
64.1, 4, 1 0 7
66.3, 11, 2 0 0
66.6, 19, 1 1 6
79.8, 26, 2 1 3

Structure:
Lattice parameters (Å, degrees): 2.8208 2.8208 11.8648 90.00 90.00 90.00
Positions (direct):
Os 0.0000 0.0000 0.1810
Os 0.0000 0.0000 0.8190
Os 0.5000 0.5000 0.3190
Os 0.5000 0.5000 0.6810
Au 0.0000 0.0000 0.5000
Au 0.5000 0.5000 0.0000

---

3.
# OsAu3
Simulated XRD peak list, a wavelength of 1.5418 Å. Input: a DFT-relaxed cell (PBE, Alexandria).
Kinematic intensities with the Lorentz-polarization factor, no thermal factor.

Peak list (10 most intense, 2θ = 10–80°, low angle first)
2theta, I/Imax, h k l
36.8, 42, 1 1 2
37.6, 57, 0 4 0
38.5, 18, 2 1 0
40.4, 100, 1 2 2
42.0, 51, 2 2 0
45.8, 23, 1 3 2
66.1, 21, 3 0 2
69.7, 20, 1 6 2
78.2, 15, 2 2 4
78.6, 26, 3 4 2

Structure:
Lattice parameters (Å, degrees): 4.8208 9.5647 5.9369 90.00 90.00 90.00
Positions (direct):
Os 0.0797 0.2500 0.1597
Os 0.4203 0.7500 0.6597
Os 0.5797 0.2500 0.3403
Os 0.9203 0.7500 0.8403
Au 0.0767 0.2500 0.6279
Au 0.2407 0.5008 0.8790
Au 0.2407 0.9992 0.8790
Au 0.2593 0.0008 0.3790
Au 0.2593 0.4992 0.3790
Au 0.4233 0.7500 0.1279
Au 0.5767 0.2500 0.8721
Au 0.7407 0.5008 0.6210
Au 0.7407 0.9992 0.6210
Au 0.7593 0.0008 0.1210
Au 0.7593 0.4992 0.1210
Au 0.9233 0.7500 0.3721